Diffraction record for CsSm5S8. The X-ray powder pattern is calculated, not measured: it uses a cell relaxed with PBE and λ = 1.5418 Å (Cu Kα).
No peak broadening, texture or thermal motion is included.

The 10 most intense peaks (2θ from 10° to 90°), in order of rising 2θ:
2θ (°), d_spacing, Rel. int.
17.57, 5.046, 58
22.05, 4.031, 55
22.30, 3.986, 60
25.31, 3.520, 58
25.81, 3.451, 67
28.13, 3.172, 100
29.59, 3.019, 47
35.36, 2.538, 71
44.00, 2.058, 42
44.61, 2.031, 75

Atomic structure:
a b c (Å): 10.711 10.711 9.930
angles (deg): 104.05 104.05 22.15
Element x y z (fractional)
1 Cs 0.000 0.000 0.000
2 Sm 0.156 0.156 0.441
3 Sm 0.202 0.202 0.837
4 Sm 0.500 0.500 0.500
5 Sm 0.798 0.798 0.163
6 Sm 0.844 0.844 0.559
7 S 0.080 0.080 0.638
8 S 0.274 0.274 0.360
9 S 0.328 0.328 0.009
10 S 0.420 0.420 0.690
11 S 0.580 0.580 0.310
12 S 0.672 0.672 0.991
13 S 0.726 0.726 0.640
14 S 0.920 0.920 0.362

=====

Diffraction record for CaNd6Ho. The X-ray powder pattern is calculated, not measured: it uses a cell relaxed with PBE and λ = 1.5418 Å (Cu Kα).
No peak broadening, texture or thermal motion is included.

The 10 most intense peaks (2θ from 10° to 90°), in order of rising 2θ:
2θ (°), d_spacing, Rel. int.
19.09, 4.649, 4
29.76, 3.002, 100
34.50, 2.600, 51
49.59, 1.838, 36
58.92, 1.568, 43
61.82, 1.501, 12
72.80, 1.299, 4
80.53, 1.193, 17
83.05, 1.163, 10
83.13, 1.162, 5

Atomic structure:
a b c (Å): 5.196 5.196 10.409
angles (deg): 90.00 90.00 90.00
Element x y z (fractional)
1 Ca 0.000 0.000 0.000
2 Nd 0.000 0.500 0.257
3 Nd 0.000 0.500 0.743
4 Nd 0.500 0.000 0.257
5 Nd 0.500 0.000 0.743
6 Nd 0.500 0.500 0.000
7 Nd 0.500 0.500 0.500
8 Ho 0.000 0.000 0.500

=====

Diffraction record for Sc2TlOsO8. The X-ray powder pattern is calculated, not measured: it uses a cell relaxed with PBE and λ = 1.5418 Å (Cu Kα).
No peak broadening, texture or thermal motion is included.

The 10 most intense peaks (2θ from 10° to 90°), in order of rising 2θ:
2θ (°), d_spacing, Rel. int.
18.57, 4.779, 90
26.06, 3.419, 57
26.58, 3.353, 21
26.69, 3.340, 53
32.62, 2.745, 100
37.61, 2.392, 54
42.70, 2.117, 17
50.29, 1.814, 39
51.01, 1.790, 38
64.80, 1.439, 22

Atomic structure:
a b c (Å): 4.777 6.706 4.782
angles (deg): 90.00 91.33 90.00
Element x y z (fractional)
1 Sc 0.000 0.248 0.000
2 Sc 0.000 0.752 0.000
3 Tl 0.500 0.000 0.500
4 Os 0.500 0.500 0.500
5 O 0.185 0.000 0.184
6 O 0.217 0.500 0.216
7 O 0.305 0.296 0.694
8 O 0.305 0.704 0.694
9 O 0.695 0.296 0.306
10 O 0.695 0.704 0.306
11 O 0.783 0.500 0.784
12 O 0.815 0.000 0.816

=====

Diffraction record for Tm4SnBi. The X-ray powder pattern is calculated, not measured: it uses a cell relaxed with PBE and λ = 1.5418 Å (Cu Kα).
No peak broadening, texture or thermal motion is included.

The 10 most intense peaks (2θ from 10° to 90°), in order of rising 2θ:
2θ (°), d_spacing, Rel. int.
31.10, 2.875, 100
32.10, 2.788, 39
34.08, 2.631, 74
36.89, 2.436, 33
43.76, 2.068, 19
49.69, 1.835, 23
54.66, 1.679, 15
58.54, 1.577, 17
62.89, 1.478, 14
65.71, 1.421, 24

Atomic structure:
a b c (Å): 4.873 6.538 10.685
angles (deg): 90.00 90.00 90.00
Element x y z (fractional)
1 Tm 0.250 0.005 0.239
2 Tm 0.250 0.250 0.589
3 Tm 0.250 0.250 0.922
4 Tm 0.250 0.495 0.239
5 Tm 0.750 0.505 0.761
6 Tm 0.750 0.750 0.078
7 Tm 0.750 0.750 0.411
8 Tm 0.750 0.995 0.761
9 Sn 0.250 0.750 0.913
10 Sn 0.750 0.250 0.087
11 Bi 0.250 0.750 0.590
12 Bi 0.750 0.250 0.410

=====

Diffraction record for CsHf2Cu. The X-ray powder pattern is calculated, not measured: it uses a cell relaxed with PBE and λ = 1.5418 Å (Cu Kα).
No peak broadening, texture or thermal motion is included.

The 10 most intense peaks (2θ from 10° to 90°), in order of rising 2θ:
2θ (°), d_spacing, Rel. int.
21.92, 4.055, 3
25.36, 3.512, 9
36.17, 2.483, 100
44.70, 2.027, 3
52.09, 1.756, 18
58.80, 1.570, 4
65.06, 1.434, 36
76.77, 1.242, 11
82.38, 1.171, 2
87.93, 1.111, 16

Atomic structure:
a b c (Å): 4.966 4.966 4.966
angles (deg): 60.00 60.00 60.00
Element x y z (fractional)
1 Cs 0.000 0.000 0.000
2 Hf 0.250 0.250 0.250
3 Hf 0.750 0.750 0.750
4 Cu 0.500 0.500 0.500

=====

Diffraction record for As7Rh12. The X-ray powder pattern is calculated, not measured: it uses a cell relaxed with PBE and λ = 1.5418 Å (Cu Kα).
No peak broadening, texture or thermal motion is included.

The 10 most intense peaks (2θ from 10° to 90°), in order of rising 2θ:
2θ (°), d_spacing, Rel. int.
37.98, 2.369, 100
40.01, 2.253, 24
41.22, 2.190, 29
45.72, 1.984, 19
48.93, 1.862, 21
51.55, 1.773, 21
63.82, 1.458, 10
73.81, 1.284, 10
77.76, 1.228, 21
84.14, 1.151, 10

Atomic structure:
a b c (Å): 9.382 9.382 3.723
angles (deg): 90.00 90.00 120.00
Element x y z (fractional)
1 As 0.000 0.000 0.000
2 As 0.162 0.446 0.249
3 As 0.285 0.838 0.249
4 As 0.446 0.285 0.751
5 As 0.554 0.715 0.249
6 As 0.715 0.162 0.751
7 As 0.838 0.554 0.751
8 Rh 0.012 0.246 0.747
9 Rh 0.136 0.620 0.745
10 Rh 0.234 0.988 0.747
11 Rh 0.246 0.234 0.253
12 Rh 0.380 0.515 0.745
13 Rh 0.485 0.864 0.745
14 Rh 0.515 0.136 0.255
15 Rh 0.620 0.485 0.255
16 Rh 0.754 0.766 0.747
17 Rh 0.766 0.012 0.253
18 Rh 0.864 0.380 0.255
19 Rh 0.988 0.754 0.253

=====

Diffraction record for Rb2TiIr. The X-ray powder pattern is calculated, not measured: it uses a cell relaxed with PBE and λ = 1.5418 Å (Cu Kα).
No peak broadening, texture or thermal motion is included.

The 10 most intense peaks (2θ from 10° to 90°), in order of rising 2θ:
2θ (°), d_spacing, Rel. int.
13.39, 6.612, 100
18.98, 4.676, 25
20.65, 4.302, 59
21.25, 4.182, 31
26.97, 3.306, 41
30.22, 2.957, 79
34.20, 2.621, 40
41.80, 2.161, 22
45.39, 1.998, 29
57.42, 1.605, 28

Atomic structure:
a b c (Å): 9.624 9.624 9.624
angles (deg): 93.20 93.20 152.66
Element x y z (fractional)
1 Rb 0.375 0.206 0.331
2 Rb 0.794 0.125 0.169
3 Rb 0.875 0.044 0.669
4 Rb 0.956 0.625 0.831
5 Ti 0.250 0.750 0.500
6 Ti 0.500 0.500 0.000
7 Ir 0.000 0.000 0.000
8 Ir 0.750 0.250 0.500

=====

Diffraction record for Tb9Sm4Al11. The X-ray powder pattern is calculated, not measured: it uses a cell relaxed with PBE and λ = 1.5418 Å (Cu Kα).
No peak broadening, texture or thermal motion is included.

The 10 most intense peaks (2θ from 10° to 90°), in order of rising 2θ:
2θ (°), d_spacing, Rel. int.
20.54, 4.324, 35
23.71, 3.753, 42
26.26, 3.393, 74
29.07, 3.071, 30
33.23, 2.696, 42
33.57, 2.669, 47
35.15, 2.553, 100
35.67, 2.517, 61
39.58, 2.277, 38
60.70, 1.526, 35

Atomic structure:
a b c (Å): 13.668 13.668 3.393
angles (deg): 90.00 90.00 110.91
Element x y z (fractional)
1 Tb 0.000 0.000 0.000
2 Tb 0.111 0.664 0.000
3 Tb 0.296 0.491 0.000
4 Tb 0.336 0.889 0.000
5 Tb 0.491 0.296 0.000
6 Tb 0.509 0.704 0.000
7 Tb 0.664 0.111 0.000
8 Tb 0.704 0.509 0.000
9 Tb 0.889 0.336 0.000
10 Sm 0.096 0.261 0.000
11 Sm 0.261 0.096 0.000
12 Sm 0.739 0.904 0.000
13 Sm 0.904 0.739 0.000
14 Al 0.088 0.463 0.500
15 Al 0.121 0.879 0.500
16 Al 0.305 0.305 0.500
17 Al 0.311 0.689 0.500
18 Al 0.463 0.088 0.500
19 Al 0.500 0.500 0.500
20 Al 0.537 0.912 0.500
21 Al 0.689 0.311 0.500
22 Al 0.695 0.695 0.500
23 Al 0.879 0.121 0.500
24 Al 0.912 0.537 0.500

=====

What did the sixth record say?
Diffraction record for As7Rh12. The X-ray powder pattern is calculated, not measured: it uses a cell relaxed with PBE and λ = 1.5418 Å (Cu Kα).
No peak broadening, texture or thermal motion is included.

The 10 most intense peaks (2θ from 10° to 90°), in order of rising 2θ:
2θ (°), d_spacing, Rel. int.
37.98, 2.369, 100
40.01, 2.253, 24
41.22, 2.190, 29
45.72, 1.984, 19
48.93, 1.862, 21
51.55, 1.773, 21
63.82, 1.458, 10
73.81, 1.284, 10
77.76, 1.228, 21
84.14, 1.151, 10

Atomic structure:
a b c (Å): 9.382 9.382 3.723
angles (deg): 90.00 90.00 120.00
Element x y z (fractional)
1 As 0.000 0.000 0.000
2 As 0.162 0.446 0.249
3 As 0.285 0.838 0.249
4 As 0.446 0.285 0.751
5 As 0.554 0.715 0.249
6 As 0.715 0.162 0.751
7 As 0.838 0.554 0.751
8 Rh 0.012 0.246 0.747
9 Rh 0.136 0.620 0.745
10 Rh 0.234 0.988 0.747
11 Rh 0.246 0.234 0.253
12 Rh 0.380 0.515 0.745
13 Rh 0.485 0.864 0.745
14 Rh 0.515 0.136 0.255
15 Rh 0.620 0.485 0.255
16 Rh 0.754 0.766 0.747
17 Rh 0.766 0.012 0.253
18 Rh 0.864 0.380 0.255
19 Rh 0.988 0.754 0.253